Record 1
Diffraction record for Cr2RhSe. The powder diffraction line list is calculated, not measured: it uses a structure optimized by DFT (GGA-PBE) and Cu Kα X-rays.
Kinematic intensities with the Lorentz-polarization factor, no thermal factor.

Top 8 peaks for 2θ from 10° to 90°, by intensity:
| d [Å] | Rel. int. |
| --- | --- |
| 2.214 | 100 |
| 2.119 | 27 |
| 1.241 | 26 |
| 1.907 | 25 |
| 2.597 | 21 |
| 1.112 | 12 |
| 1.635 | 12 |
| 1.295 | 10 |

Crystal structure
```
Cr2RhSe
1.0
3.2706 0.0000 0.0000
0.0000 4.2385 0.0000
0.0000 0.0000 4.2715
Cr Rh Se
2 1 1
Cartesian
0.0000 0.0000 0.0000 Cr
0.0000 2.1192 1.4519 Cr
1.6353 2.1192 3.6082 Rh
1.6353 0.0000 2.0829 Se
```

Record 2
Diffraction record for Np2GaF11. The powder diffraction line list is calculated, not measured: it uses a structure optimized by DFT (GGA-PBE) and Cu Kα X-rays.
Kinematic intensities with the Lorentz-polarization factor, no thermal factor.

Top 8 peaks for 2θ from 10° to 90°, by intensity:
| d [Å] | Rel. int. |
| --- | --- |
| 3.697 | 100 |
| 5.089 | 39 |
| 3.786 | 29 |
| 4.928 | 28 |
| 3.394 | 27 |
| 2.545 | 19 |
| 4.142 | 19 |
| 2.011 | 18 |

Crystal structure
```
Np2GaF11
1.0
6.7911 -4.4025 0.0000
6.7911 4.4025 0.0000
-6.5518 0.0000 7.4149
Np Ga F
4 2 22
Cartesian
1.9135 1.2829 1.4463 Np
-1.3623 -1.2829 5.1537 Np
8.3928 1.2829 2.2612 Np
5.1169 -1.2829 5.9686 Np
1.8773 1.3037 5.5612 Ga
5.1531 -1.3037 1.8537 Ga
3.3955 2.2012 0.0000 F
5.7472 3.3921 0.3741 F
0.4739 2.6054 5.3097 F
-1.8254 0.8498 5.5867 F
4.5591 3.3921 3.3333 F
2.3073 1.3469 3.6756 F
3.2807 2.6054 5.8126 F
1.4504 -0.8498 1.8793 F
3.8901 0.0845 1.5214 F
0.6142 -0.0845 5.2288 F
7.9990 1.3469 0.0318 F
0.1197 -2.2012 3.7074 F
-0.9686 -1.3469 7.3831 F
6.4162 0.0845 2.1861 F
3.1403 -0.0845 5.8935 F
5.5800 0.8498 5.5356 F
3.7498 -2.6054 1.6023 F
4.7231 -1.3469 3.7392 F
2.4713 -3.3921 4.0816 F
8.8559 -0.8498 1.8281 F
6.5565 -2.6054 2.1051 F
1.2832 -3.3921 7.0407 F
```

Record 3
Diffraction record for AcNd8Dy4. The powder diffraction line list is calculated, not measured: it uses a structure optimized by DFT (GGA-PBE) and Cu Kα X-rays.
Kinematic intensities with the Lorentz-polarization factor, no thermal factor.

Top 8 peaks for 2θ from 10° to 90°, by intensity:
| d [Å] | Rel. int. |
| --- | --- |
| 2.936 | 100 |
| 2.413 | 44 |
| 1.850 | 28 |
| 2.812 | 26 |
| 3.259 | 19 |
| 1.609 | 14 |
| 1.565 | 13 |
| 2.667 | 13 |

Crystal structure
```
AcNd8Dy4
1.0
3.6993 2.1358 9.7778
-3.6993 2.1358 9.7778
0.0000 -4.2716 9.7778
Ac Nd Dy
1 8 4
Cartesian
0.0000 0.0000 0.0000 Ac
0.0000 -1.8979 11.8851 Nd
-1.6436 0.9489 11.8851 Nd
0.0000 0.0000 8.4298 Nd
-1.6436 -0.9489 17.4483 Nd
1.6436 0.9489 11.8851 Nd
0.0000 0.0000 20.9036 Nd
1.6436 -0.9489 17.4483 Nd
0.0000 1.8979 17.4483 Nd
-3.6993 0.0000 14.6667 Dy
-1.8497 1.0679 4.8889 Dy
1.8497 1.0679 4.8889 Dy
0.0000 0.0000 14.6667 Dy
```

Record 4
Diffraction record for La6PmHo5. The powder diffraction line list is calculated, not measured: it uses a structure optimized by DFT (GGA-PBE) and Cu Kα X-rays.
Kinematic intensities with the Lorentz-polarization factor, no thermal factor.

Top 8 peaks for 2θ from 10° to 90°, by intensity:
| d [Å] | Rel. int. |
| --- | --- |
| 2.974 | 100 |
| 1.806 | 24 |
| 2.623 | 18 |
| 2.616 | 18 |
| 2.493 | 15 |
| 1.574 | 15 |
| 1.571 | 15 |
| 1.517 | 13 |

Crystal structure
```
La6PmHo5
1.0
6.2099 0.0000 0.0000
-0.0082 7.4118 0.0000
-0.4064 -3.6865 8.9202
La Pm Ho
6 1 5
Cartesian
-0.4063 -1.8382 8.9201 La
6.2017 5.5635 0.0001 La
1.7865 -1.8369 5.9352 La
1.7834 1.8721 5.9363 La
4.0120 1.8532 2.9839 La
4.0089 5.5622 2.9851 La
3.1008 3.7059 0.0000 Pm
0.8963 3.7096 2.9799 Ho
0.9084 0.0055 2.9696 Ho
3.1050 0.0000 0.0000 Ho
4.8869 3.7198 5.9506 Ho
4.8990 0.0157 5.9404 Ho
```

Copy entry 1 word for word.
Diffraction record for Cr2RhSe. The powder diffraction line list is calculated, not measured: it uses a structure optimized by DFT (GGA-PBE) and Cu Kα X-rays.
Kinematic intensities with the Lorentz-polarization factor, no thermal factor.

Top 8 peaks for 2θ from 10° to 90°, by intensity:
| d [Å] | Rel. int. |
| --- | --- |
| 2.214 | 100 |
| 2.119 | 27 |
| 1.241 | 26 |
| 1.907 | 25 |
| 2.597 | 21 |
| 1.112 | 12 |
| 1.635 | 12 |
| 1.295 | 10 |

Crystal structure
```
Cr2RhSe
1.0
3.2706 0.0000 0.0000
0.0000 4.2385 0.0000
0.0000 0.0000 4.2715
Cr Rh Se
2 1 1
Cartesian
0.0000 0.0000 0.0000 Cr
0.0000 2.1192 1.4519 Cr
1.6353 2.1192 3.6082 Rh
1.6353 0.0000 2.0829 Se
```

What did the third record say?
Diffraction record for AcNd8Dy4. The powder diffraction line list is calculated, not measured: it uses a structure optimized by DFT (GGA-PBE) and Cu Kα X-rays.
Kinematic intensities with the Lorentz-polarization factor, no thermal factor.

Top 8 peaks for 2θ from 10° to 90°, by intensity:
| d [Å] | Rel. int. |
| --- | --- |
| 2.936 | 100 |
| 2.413 | 44 |
| 1.850 | 28 |
| 2.812 | 26 |
| 3.259 | 19 |
| 1.609 | 14 |
| 1.565 | 13 |
| 2.667 | 13 |

Crystal structure
```
AcNd8Dy4
1.0
3.6993 2.1358 9.7778
-3.6993 2.1358 9.7778
0.0000 -4.2716 9.7778
Ac Nd Dy
1 8 4
Cartesian
0.0000 0.0000 0.0000 Ac
0.0000 -1.8979 11.8851 Nd
-1.6436 0.9489 11.8851 Nd
0.0000 0.0000 8.4298 Nd
-1.6436 -0.9489 17.4483 Nd
1.6436 0.9489 11.8851 Nd
0.0000 0.0000 20.9036 Nd
1.6436 -0.9489 17.4483 Nd
0.0000 1.8979 17.4483 Nd
-3.6993 0.0000 14.6667 Dy
-1.8497 1.0679 4.8889 Dy
1.8497 1.0679 4.8889 Dy
0.0000 0.0000 14.6667 Dy
```